No. 1
Diffraction record for PmYHg. The X-ray powder pattern is theoretical, not measured: it uses DFT lattice parameters and positions (GGA-PBE) and CuKα.

Atomic structure:
```
12
Lattice="5.210 0.000 0.000 0.000 12.725 0.000 0.000 0.000 5.243" Properties=species:S:1:pos:R:3 pbc="T T T"
Pm 0.000 1.134 1.311
Pm 0.000 11.591 3.932
Pm 2.605 5.228 3.932
Pm 2.605 7.497 1.311
Y 0.000 5.038 1.311
Y 0.000 7.687 3.932
Y 2.605 1.324 3.932
Y 2.605 11.400 1.311
Hg 0.000 3.142 3.932
Hg 0.000 9.583 1.311
Hg 2.605 3.220 1.311
Hg 2.605 9.505 3.932
```

Peak list (8 most intense, 2θ from 5° to 70°, sorted by position)
d (Å), I/Imax
6.362, 11
2.786, 100
2.622, 22
2.605, 22
1.848, 16
1.543, 17
1.537, 17
1.393, 11

=====

No. 2
Diffraction record for PmYHg4. The X-ray powder pattern is theoretical, not measured: it uses DFT lattice parameters and positions (GGA-PBE) and CuKα.

Atomic structure:
```
12
Lattice="10.878 0.000 0.000 0.000 3.892 0.000 -2.752 0.000 7.302" Properties=species:S:1:pos:R:3 pbc="T T T"
Pm 0.000 0.000 0.000
Pm 5.439 1.946 0.000
Y -1.376 0.000 3.651
Y 4.063 1.946 3.651
Hg 0.897 1.946 2.485
Hg -0.446 1.946 6.048
Hg 3.133 0.000 1.255
Hg 1.790 0.000 4.817
Hg 6.336 0.000 2.485
Hg 4.993 0.000 6.048
Hg 8.572 1.946 1.255
Hg 7.229 1.946 4.817
```

Peak list (8 most intense, 2θ from 5° to 70°, sorted by position)
d (Å), I/Imax
2.755, 82
2.569, 34
2.556, 100
1.951, 15
1.946, 15
1.555, 15
1.551, 15
1.547, 29

=====

No. 3
Diffraction record for PmY2Hg8. The X-ray powder pattern is theoretical, not measured: it uses DFT lattice parameters and positions (GGA-PBE) and CuKα.

Atomic structure:
```
11
Lattice="-2.552 3.751 7.292 2.552 -3.751 7.292 2.552 3.751 -7.292" Properties=species:S:1:pos:R:3 pbc="T T T"
Pm 0.000 0.000 0.000
Y 0.000 0.000 4.464
Y 0.000 0.000 10.121
Hg 2.552 -1.575 5.130
Hg 2.552 0.000 2.284
Hg 2.552 2.209 0.000
Hg 0.000 2.176 2.163
Hg 2.552 1.575 5.130
Hg 0.000 1.542 7.292
Hg 0.000 3.751 5.008
Hg 0.000 5.326 2.163
```

Peak list (8 most intense, 2θ from 5° to 70°, sorted by position)
d (Å), I/Imax
3.651, 12
2.759, 23
2.567, 100
2.552, 32
2.465, 13
2.431, 20
1.760, 15
1.476, 18